(1)
The following is a simulated powder X-ray diffraction pattern of Na4EuTl. It was derived from a crystal structure in Alexandria, relaxed with GGA-PBE, using Cu Kα (weighted mean of Kα1 and Kα2).
Intensities are scaled so that the largest is 100.

Structural model:
a = 6.545 Å, b = 6.545 Å, c = 6.545 Å
α = 60.00°, β = 60.00°, γ = 60.00°
Positions (direct):
Na  0.376  0.376  0.376
Na  0.376  0.376  0.871
Na  0.376  0.871  0.376
Na  0.871  0.376  0.376
Eu  0.000  0.000  0.000
Tl  0.750  0.750  0.750

Peak list (8 most intense, 5 to 70 degrees two-theta, by angle)
2θ/deg  Rel. int.
16.6  70
27.3  100
32.1  96
42.6  20
48.2  43
51.3  34
56.2  22
63.6  19

=====

(2)
The following is a simulated powder X-ray diffraction pattern of Nb3V2Re2. It was derived from a crystal structure in Alexandria, relaxed with GGA-PBE, using Cu Kα (weighted mean of Kα1 and Kα2).
Intensities are scaled so that the largest is 100.

Structural model:
a = 6.903 Å, b = 6.903 Å, c = 6.903 Å
α = 37.72°, β = 37.72°, γ = 37.72°
Positions (direct):
Nb  0.000  0.000  0.000
Nb  0.142  0.142  0.142
Nb  0.858  0.858  0.858
V  0.288  0.288  0.288
V  0.712  0.712  0.712
Re  0.427  0.427  0.427
Re  0.573  0.573  0.573

Peak list (8 most intense, 5 to 70 degrees two-theta, by angle)
2θ/deg  Rel. int.
13.8  5
23.5  13
24.8  22
29.7  6
32.9  12
40.3  100
40.4  100
58.4  33